[1]
Calculated powder diffraction line list
Compound: Li2Ti3Ga3O12
Radiation: a wavelength of 1.5418 Å
Structure: DFT lattice parameters and positions (PBE)

The 10 most intense peaks (5° ≤ 2θ ≤ 70°), most intense first:
2θ (°)  intensity  index
20.70  100  0 2 1
35.10  97  1 3 -2
9.77  91  0 2 0
62.27  88  2 6 2
35.48  83  3 3 0
34.98  81  0 6 1
19.62  72  0 4 0
29.97  71  3 3 -1
23.43  36  2 2 0
42.51  35  2 6 -2

Atomic structure:
a b c (Å): 10.2858 18.1021 5.9971
angles (deg): 90.00 125.60 90.00
Space group C2/m (No. 12)
One atom of each set of equivalent atoms:
Li: 0.0000 0.0000 0.0000
Li: 0.0000 0.0000 0.5000
Li: 0.2500 0.2500 0.0000
Ti: 0.0000 0.3349 0.0000
Ti: 0.2417 0.0817 0.9945
Ga: 0.0000 0.3263 0.5000
Ga: 0.1306 0.1665 0.3769
O: 0.0091 0.2544 0.2541
O: 0.0156 0.0893 0.7671
O: 0.0254 0.3980 0.7788
O: 0.2363 0.0000 0.1907
O: 0.2387 0.0000 0.7874
O: 0.2397 0.3361 0.7486
O: 0.2407 0.3378 0.2371

[2]
Calculated powder diffraction line list
Compound: Dy11Y5O24
Radiation: a wavelength of 1.5418 Å
Structure: DFT lattice parameters and positions (PBE)

The 10 most intense peaks (5° ≤ 2θ ≤ 70°), most intense first:
2θ (°)  intensity  index
28.94  100  1 1 1
48.16  39  0 4 0
33.53  33  2 2 -2
57.16  31  3 3 -1
20.35  13  1 1 -2
43.15  9  4 -1 0
35.63  7  3 -2 1
58.57  6  4 -1 2
59.96  6  2 2 2
52.79  6  3 -2 3

Atomic structure:
a b c (Å): 9.2567 9.2572 9.2572
angles (deg): 109.48 109.46 109.47
Space group P1 (No. 1)
One atom of each set of equivalent atoms:
Dy: 0.0000 0.0000 0.0000
Dy: 0.0003 0.5003 0.5004
Dy: 0.0328 0.2827 0.7502
Dy: 0.2175 0.2502 0.4677
Dy: 0.2501 0.0328 0.7829
Dy: 0.2826 0.7499 0.0325
Dy: 0.5001 0.5000 0.9999
Dy: 0.5329 0.7827 0.7502
Dy: 0.7173 0.2500 0.9673
Dy: 0.7502 0.4675 0.7176
Dy: 0.7830 0.7501 0.5332
Y: 0.2501 0.5325 0.2827
Y: 0.4676 0.2176 0.2501
Y: 0.5003 0.0001 0.5004
Y: 0.7502 0.9675 0.2175
Y: 0.9674 0.7173 0.2501
O: 0.0114 0.9693 0.2396
O: 0.0312 0.5420 0.7706
O: 0.0425 0.7707 0.5320
O: 0.2282 0.9577 0.9889
O: 0.2296 0.7715 0.2603
O: 0.2388 0.2702 0.2284
O: 0.2608 0.4891 0.0308
O: 0.2706 0.5312 0.5425
O: 0.2716 0.2606 0.7296
O: 0.4581 0.9890 0.7290
O: 0.4691 0.2400 0.5115
O: 0.4889 0.7281 0.9578
O: 0.5110 0.2717 0.0418
O: 0.5319 0.7608 0.4898
O: 0.5420 0.0106 0.2714
O: 0.7281 0.7387 0.2707
O: 0.7301 0.4693 0.4586
O: 0.7389 0.5106 0.9683
O: 0.7608 0.7296 0.7718
O: 0.7710 0.2290 0.7400
O: 0.7718 0.0422 0.0105
O: 0.9585 0.2300 0.4695
O: 0.9682 0.4574 0.2296
O: 0.9892 0.0312 0.7609

[3]
Calculated powder diffraction line list
Compound: HoBi2C
Radiation: a wavelength of 1.5418 Å
Structure: DFT lattice parameters and positions (PBE)

The 10 most intense peaks (5° ≤ 2θ ≤ 70°), most intense first:
2θ (°)  intensity  index
31.07  100  4 0 0
36.35  97  2 1 2
27.94  81  3 2 0
42.80  59  3 2 2
32.22  50  3 2 1
23.40  38  2 1 1
33.01  36  3 3 0
35.47  35  2 0 2
63.47  32  6 3 2
58.17  31  6 0 2

Atomic structure:
a b c (Å): 11.5122 11.5122 5.6352
angles (deg): 90.00 90.00 90.00
Space group P4_2/mbc (No. 135)
One atom of each set of equivalent atoms:
Ho: 0.1643 0.3357 0.2500
Bi: 0.0643 0.1221 0.0000
Bi: 0.1082 0.6085 0.0000
C: 0.0755 0.1459 0.5000

[4]
Calculated powder diffraction line list
Compound: Ba2Ga7Ag
Radiation: a wavelength of 1.5418 Å
Structure: DFT lattice parameters and positions (PBE)

The 10 most intense peaks (5° ≤ 2θ ≤ 70°), most intense first:
2θ (°)  intensity  index
31.86  100  1 1 2
38.99  61  2 0 0
31.14  60  1 0 3
50.72  30  2 1 3
45.68  24  1 0 5
66.19  23  3 1 2
56.33  20  2 2 0
61.58  19  2 1 5
42.99  15  1 1 4
57.66  15  1 1 6

Atomic structure:
a b c (Å): 4.6197 4.6197 10.9998
angles (deg): 90.00 90.00 90.00
Space group P-4m2 (No. 115)
One atom of each set of equivalent atoms:
Ba: 0.0000 0.5000 0.2476
Ga: 0.0000 0.0000 0.0000
Ga: 0.0000 0.5000 0.6274
Ga: 0.0000 0.5000 0.8704
Ga: 0.5000 0.5000 0.0000
Ga: 0.5000 0.5000 0.5000
Ag: 0.0000 0.0000 0.5000

[5]
Calculated powder diffraction line list
Compound: SmDyO3
Radiation: a wavelength of 1.5418 Å
Structure: DFT lattice parameters and positions (PBE)

The 10 most intense peaks (5° ≤ 2θ ≤ 70°), most intense first:
2θ (°)  intensity  index
29.98  100  1 2 1
52.65  26  2 4 0
54.29  23  1 2 3
29.48  22  2 0 0
30.82  22  0 0 2
43.18  19  2 0 2
62.31  13  2 4 2
42.66  12  0 4 0
53.55  11  0 4 2
48.95  6  3 1 1

Atomic structure:
a b c (Å): 6.0592 8.4775 5.8019
angles (deg): 90.00 90.00 90.00
Space group Pnma (No. 62)
One atom of each set of equivalent atoms:
Sm: 0.0515 0.2500 0.0131
Dy: 0.0000 0.0000 0.5000
O: 0.0736 0.7500 0.3593
O: 0.1839 0.5726 0.8194

[6]
Calculated powder diffraction line list
Compound: MgAl2H8
Radiation: a wavelength of 1.5418 Å
Structure: DFT lattice parameters and positions (PBE)

The 10 most intense peaks (5° ≤ 2θ ≤ 70°), most intense first:
2θ (°)  intensity  index
24.72  100  0 1 1
23.76  100  1 0 1
29.79  54  1 1 -1
22.82  35  1 1 0
36.44  34  0 1 -2
36.83  30  1 -1 0
39.96  26  1 0 -2
32.50  23  1 0 2
39.26  22  2 1 1
44.07  19  1 1 3

Atomic structure:
a b c (Å): 4.6187 4.7962 6.4649
angles (deg): 81.08 75.55 62.80
Space group P1 (No. 1)
One atom of each set of equivalent atoms:
Mg: 0.0000 0.0000 0.0000
Al: 0.4246 0.3696 0.7086
Al: 0.5745 0.6314 0.2918
H: 0.0862 0.6691 0.8127
H: 0.2440 0.6899 0.2048
H: 0.3651 0.0632 0.8406
H: 0.4605 0.2885 0.4650
H: 0.5412 0.7121 0.5349
H: 0.6330 0.9377 0.1583
H: 0.7529 0.3122 0.7974
H: 0.9128 0.3325 0.1866